The following is a theoretical XRD peak list of Cd5AgRh4. It was derived from a crystal structure in Alexandria, relaxed with PBE, using Cu Kα (λ = 1.5418 Å).
Peak positions follow from Bragg's law for the DFT cell and can differ from measured ones.

Crystal structure
Cell lengths 3.2743, 3.2743, 16.1541 Å; angles 90.00, 90.00, 90.00 degrees
Space group P4/mmm (No. 123)
Inequivalent atoms, fractional coordinates:
Cd  0.0000  0.0000  0.0000 x1
Cd  0.0000  0.0000  0.1955 x2
Cd  0.0000  0.0000  0.3899 x2
Ag  0.5000  0.5000  0.5000 x1
Rh  0.5000  0.5000  0.0981 x2
Rh  0.5000  0.5000  0.2949 x2

Most intense lines, 2θ from 10° to 90°, in order of rising 2θ:
- 2θ 38.90, I = 52.6, hkl 1 1 0
- 2θ 39.17, I = 100.0, hkl 1 0 5
- 2θ 56.19, I = 17.5, hkl 2 0 0
- 2θ 57.01, I = 7.3, hkl 0 0 10
- 2θ 70.62, I = 33.2, hkl 2 1 5
- 2θ 71.17, I = 14.8, hkl 1 1 10
- 2θ 83.51, I = 5.4, hkl 2 2 0
- 2θ 84.20, I = 9.5, hkl 2 0 10